1.
Computed X-ray powder pattern
Compound: CdTeBr
Radiation: Cu Kα
Structure: a structure optimized by DFT (GGA-PBE)
Neutral-atom scattering factors, no anomalous dispersion.

Top 8 peaks for 2θ = 10–90°, by angle:
2θ (°)	I (rel.)
11.41	77.7
28.82	23.8
29.91	100.0
33.45	44.2
40.16	18.9
41.87	20.0
42.01	19.7
48.81	19.7

Crystal structure
```
CdTeBr
1.0
3.7535 0.0000 0.0000
1.6229 3.3870 0.0000
1.1791 0.7744 7.7558
Cd Te Br
1 1 1
direct
0.0000 0.0000 0.0000
0.7150 0.7184 0.7369
0.2934 0.2915 0.2218
```

***

2.
Computed X-ray powder pattern
Compound: Pu4N3Cl
Radiation: Cu Kα
Structure: a structure optimized by DFT (GGA-PBE)
Neutral-atom scattering factors, no anomalous dispersion.

Top 8 peaks for 2θ = 10–90°, by angle:
2θ (°)	I (rel.)
30.21	57.5
31.20	34.3
32.54	34.3
34.20	61.4
36.13	100.0
51.90	34.2
52.15	49.1
64.08	32.8

Crystal structure
```
Pu4N3Cl
1.0
3.5079 0.0000 0.0000
-1.7540 3.0380 0.0000
0.0000 0.0000 25.9509
Pu N Cl
8 6 2
direct
0.0000 0.0000 0.1628
0.0000 0.0000 0.3372
0.0000 0.0000 0.6628
0.0000 0.0000 0.8372
0.3333 0.6667 0.0543
0.3333 0.6667 0.4457
0.6667 0.3333 0.5543
0.6667 0.3333 0.9457
0.0000 0.0000 0.0000
0.0000 0.0000 0.5000
0.3333 0.6667 0.6137
0.3333 0.6667 0.8863
0.6667 0.3333 0.1137
0.6667 0.3333 0.3863
0.3333 0.6667 0.2500
0.6667 0.3333 0.7500
```

***

Please write out number 1 again, unchanged.
Computed X-ray powder pattern
Compound: CdTeBr
Radiation: Cu Kα
Structure: a structure optimized by DFT (GGA-PBE)
Neutral-atom scattering factors, no anomalous dispersion.

Top 8 peaks for 2θ = 10–90°, by angle:
2θ (°)	I (rel.)
11.41	77.7
28.82	23.8
29.91	100.0
33.45	44.2
40.16	18.9
41.87	20.0
42.01	19.7
48.81	19.7

Crystal structure
```
CdTeBr
1.0
3.7535 0.0000 0.0000
1.6229 3.3870 0.0000
1.1791 0.7744 7.7558
Cd Te Br
1 1 1
direct
0.0000 0.0000 0.0000
0.7150 0.7184 0.7369
0.2934 0.2915 0.2218
```